The following is a theoretical XRD peak list of Ac2Al7Pd. It was derived from a cell relaxed with PBE, using copper Kα.
Lines closer than 0.1° are merged.

Cell: 4.466 4.466 11.007 Å, 90.00 90.00 90.00°
Space group P-4m2 (No. 115)
Unique sites:
Ac 0.000 0.500 0.248 [2 per cell]
Al 0.000 0.000 0.000 [1 per cell]
Al 0.000 0.000 0.500 [1 per cell]
Al 0.000 0.500 0.638 [2 per cell]
Al 0.000 0.500 0.878 [2 per cell]
Al 0.500 0.500 0.500 [1 per cell]
Pd 0.500 0.500 0.000 [1 per cell]

Principal peaks in the range 15 to 90 degrees two-theta, low angle first:
- 2θ 21.47, rel. 93, (1 0 1)
- 2θ 28.26, rel. 23, (1 1 0)
- 2θ 31.56, rel. 72, (1 0 3)
- 2θ 32.70, rel. 100, (1 1 2)
- 2θ 40.40, rel. 38, (2 0 0)
- 2θ 45.96, rel. 27, (1 0 5)
- 2θ 46.20, rel. 27, (2 1 1)
- 2θ 52.15, rel. 36, (2 1 3)
- 2θ 62.83, rel. 22, (2 1 5)
- 2θ 68.59, rel. 32, (3 1 2)